Diffraction record for Pa2Ga3. The powder XRD pattern is theoretical, not measured: it uses a crystal structure in Alexandria, relaxed with GGA-PBE and a wavelength of 1.5418 Å.

Structure:
```
data_Pa2Ga3
_chemical_formula_sum 'Pa8 Ga12'
_cell_length_a 5.7860
_cell_length_b 9.7779
_cell_length_c 7.5931
_cell_angle_alpha 90.00
_cell_angle_beta 90.00
_cell_angle_gamma 90.00
_symmetry_space_group_name_H-M 'C m c e'
_symmetry_Int_Tables_number 64
_symmetry_space_group_name_Hall '-C 2ac 2'
loop_
_atom_site_label
_atom_site_fract_x
_atom_site_fract_y
_atom_site_fract_z
_atom_site_occupancy
Pa1 0.0000 0.1565 0.1001 1
Ga1 0.0000 0.0000 0.5000 1
Ga2 0.2500 0.1028 0.7500 1
```

Top 10 peaks for 10° ≤ 2θ ≤ 80°, by angle:
d/Å, intensity
4.164, 27
3.019, 96
2.893, 24
2.660, 100
2.366, 58
2.301, 23
2.248, 48
1.774, 19
1.665, 24
1.622, 23